Structure and calculated powder X-ray diffraction pattern of KLaReSe4 (a PBE-relaxed structure; Cu Kα (λ = 1.5418 Å)).
Lines closer than 0.1° are merged.

Top 6 peaks for 10° ≤ 2θ ≤ 90°, sorted by position:
two_theta, I_rel
10.09, 100.0
16.27, 68.0
30.82, 45.4
31.23, 41.5
37.85, 38.5
38.90, 27.5

Structure:
```
data_KLaReSe4
_chemical_formula_sum 'K2 La2 Re2 Se8'
_cell_length_a 6.8796
_cell_length_b 6.9564
_cell_length_c 9.2612
_cell_angle_alpha 90.00
_cell_angle_beta 108.79
_cell_angle_gamma 90.00
_space_group_name_H-M_alt 'P 1 21 1'
_space_group_IT_number 4
_space_group_name_Hall 'P 2yb'
loop_
_atom_site_label
_atom_site_type_symbol
_atom_site_fract_x
_atom_site_fract_y
_atom_site_fract_z
_atom_site_occupancy
K1 K 0.2497 0.0000 0.0614 1
La1 La 0.2355 0.9937 0.5471 1
Re1 Re 0.2425 0.4944 0.3251 1
Se1 Se 0.0094 0.7463 0.7222 1
Se2 Se 0.0137 0.2457 0.7271 1
Se3 Se 0.4187 0.5272 0.1449 1
Se4 Se 0.4270 0.5868 0.5849 1
```


Structure and calculated powder X-ray diffraction pattern of K2Li3Ni3N3 (a PBE-relaxed structure; Cu Kα (λ = 1.5418 Å)).
Lines closer than 0.1° are merged.

Top 6 peaks for 10° ≤ 2θ ≤ 90°, sorted by position:
two_theta, I_rel
22.14, 92.3
25.61, 23.7
34.16, 100.0
38.84, 36.4
43.20, 14.1
52.67, 16.0

Structure:
```
data_K2Li3Ni3N3
_chemical_formula_sum 'K2 Li3 Ni3 N3'
_cell_length_a 8.0318
_cell_length_b 8.0318
_cell_length_c 3.4638
_cell_angle_alpha 90.00
_cell_angle_beta 90.00
_cell_angle_gamma 120.00
_space_group_name_H-M_alt 'P -6 2 m'
_space_group_IT_number 189
_space_group_name_Hall 'P -6 -2'
loop_
_atom_site_label
_atom_site_type_symbol
_atom_site_fract_x
_atom_site_fract_y
_atom_site_fract_z
_atom_site_occupancy
K1 K 0.3333 0.6667 0.0000 1
Li1 Li 0.0000 0.1951 0.0000 1
Ni1 Ni 0.0000 0.7186 0.5000 1
N1 N 0.0000 0.7150 0.0000 1
```


Structure and calculated powder X-ray diffraction pattern of K3Li2Nb5O15 (a PBE-relaxed structure; Cu Kα (λ = 1.5418 Å)).
Lines closer than 0.1° are merged.

Top 6 peaks for 10° ≤ 2θ ≤ 90°, sorted by position:
two_theta, I_rel
22.16, 94.3
25.26, 45.5
27.24, 33.0
28.96, 59.0
31.51, 100.0
50.80, 48.4

Structure:
```
data_K3Li2Nb5O15
_chemical_formula_sum 'K6 Li4 Nb10 O30'
_cell_length_a 12.7132
_cell_length_b 12.7132
_cell_length_c 4.0051
_cell_angle_alpha 90.00
_cell_angle_beta 90.00
_cell_angle_gamma 90.00
_space_group_name_H-M_alt 'P 4/m b m'
_space_group_IT_number 127
_space_group_name_Hall '-P 4 2ab'
loop_
_atom_site_label
_atom_site_type_symbol
_atom_site_fract_x
_atom_site_fract_y
_atom_site_fract_z
_atom_site_occupancy
K1 K 0.0000 0.0000 0.0000 1
K2 K 0.1712 0.3288 0.0000 1
Li1 Li 0.1234 0.6234 0.0000 1
Nb1 Nb 0.0000 0.5000 0.5000 1
Nb2 Nb 0.0776 0.7934 0.5000 1
O1 O 0.0000 0.5000 0.0000 1
O2 O 0.0019 0.6551 0.5000 1
O3 O 0.0669 0.1409 0.5000 1
O4 O 0.0813 0.7837 0.0000 1
O5 O 0.2136 0.7136 0.5000 1
```


Structure and calculated powder X-ray diffraction pattern of KLiNp (a PBE-relaxed structure; Cu Kα (λ = 1.5418 Å)).
Lines closer than 0.1° are merged.

Top 6 peaks for 10° ≤ 2θ ≤ 90°, sorted by position:
two_theta, I_rel
19.53, 91.0
22.58, 100.0
32.15, 89.1
37.90, 54.9
51.93, 43.1
57.32, 34.6

Structure:
```
data_KLiNp
_chemical_formula_sum 'K4 Li4 Np4'
_cell_length_a 7.8741
_cell_length_b 7.8741
_cell_length_c 7.8741
_cell_angle_alpha 90.00
_cell_angle_beta 90.00
_cell_angle_gamma 90.00
_space_group_name_H-M_alt 'F -4 3 m'
_space_group_IT_number 216
_space_group_name_Hall 'F -4 2 3'
loop_
_atom_site_label
_atom_site_type_symbol
_atom_site_fract_x
_atom_site_fract_y
_atom_site_fract_z
_atom_site_occupancy
K1 K 0.0000 0.0000 0.0000 1
Li1 Li 0.2500 0.2500 0.2500 1
Np1 Np 0.0000 0.0000 0.5000 1
```


Structure and calculated powder X-ray diffraction pattern of KLiNpS3 (a PBE-relaxed structure; Cu Kα (λ = 1.5418 Å)).
Lines closer than 0.1° are merged.

Top 6 peaks for 10° ≤ 2θ ≤ 90°, sorted by position:
two_theta, I_rel
12.90, 100.0
17.03, 45.3
21.43, 74.8
22.89, 46.2
29.46, 54.6
34.22, 47.9

Structure:
```
data_KLiNpS3
_chemical_formula_sum 'K4 Li4 Np4 S12'
_cell_length_a 4.0505
_cell_length_b 13.7204
_cell_length_c 10.4120
_cell_angle_alpha 90.00
_cell_angle_beta 90.00
_cell_angle_gamma 90.00
_space_group_name_H-M_alt 'C m c m'
_space_group_IT_number 63
_space_group_name_Hall '-C 2c 2'
loop_
_atom_site_label
_atom_site_type_symbol
_atom_site_fract_x
_atom_site_fract_y
_atom_site_fract_z
_atom_site_occupancy
K1 K 0.0000 0.2375 0.2500 1
Li1 Li 0.0000 0.0408 0.7500 1
Np1 Np 0.0000 0.5000 0.0000 1
S1 S 0.0000 0.1236 0.5499 1
S2 S 0.0000 0.4480 0.7500 1
```


Structure and calculated powder X-ray diffraction pattern of KLiZnP2O7 (a PBE-relaxed structure; Cu Kα (λ = 1.5418 Å)).
Lines closer than 0.1° are merged.

Top 6 peaks for 10° ≤ 2θ ≤ 90°, sorted by position:
two_theta, I_rel
22.70, 31.1
27.96, 64.3
28.90, 100.0
33.99, 41.5
35.45, 31.8
35.76, 34.1

Structure:
```
data_KLiZnP2O7
_chemical_formula_sum 'K4 Li4 Zn4 P8 O28'
_cell_length_a 12.3660
_cell_length_b 5.0223
_cell_length_c 10.1293
_cell_angle_alpha 90.00
_cell_angle_beta 90.00
_cell_angle_gamma 90.00
_space_group_name_H-M_alt 'P m c 21'
_space_group_IT_number 26
_space_group_name_Hall 'P 2c -2'
loop_
_atom_site_label
_atom_site_type_symbol
_atom_site_fract_x
_atom_site_fract_y
_atom_site_fract_z
_atom_site_occupancy
K1 K 0.0000 0.0028 0.0000 1
K2 K 0.5000 0.4899 0.2799 1
Li1 Li 0.2516 0.4626 0.4915 1
Zn1 Zn 0.2493 0.0346 0.7844 1
P1 P 0.1168 0.4764 0.2321 1
P2 P 0.3837 0.0346 0.0400 1
O1 O 0.0000 0.4422 0.7949 1
O2 O 0.1216 0.1707 0.2412 1
O3 O 0.1239 0.4167 0.5935 1
O4 O 0.1979 0.3943 0.8280 1
O5 O 0.3025 0.1135 0.4515 1
O6 O 0.3764 0.3336 0.0320 1
O7 O 0.3798 0.0763 0.6816 1
O8 O 0.5000 0.0607 0.4811 1
```